Starting from a structure optimized by DFT (GGA-PBE), the powder diffractogram of LaPmMnAg was computed for CuKα.
Neutral-atom scattering factors, no anomalous dispersion.

Atomic structure:
Cell: 5.2864 5.2864 5.2864 Å, 60.00 60.00 60.00°
Sites, in units of the cell vectors:
La: 0.0000 0.0000 0.0000
Pm: 0.5000 0.5000 0.5000
Mn: 0.2500 0.2500 0.2500
Ag: 0.7500 0.7500 0.7500

Principal peaks in the range 5 to 70 degrees two-theta, low angle first:
d [Å]  I_rel
4.316  4
3.738  8
2.643  100
2.254  2
2.158  2
1.869  18
1.715  1
1.672  4
1.526  36
1.439  1


Starting from a structure optimized by DFT (GGA-PBE), the powder diffractogram of La4Ag2N was computed for CuKα.
Neutral-atom scattering factors, no anomalous dispersion.

Atomic structure:
Cell: 7.2280 7.3817 8.3726 Å, 90.00 106.57 90.00°
Sites, in units of the cell vectors:
La: 0.0131 0.0088 0.2536
La: 0.0131 0.4912 0.2536
La: 0.4101 0.2500 0.5846
La: 0.4238 0.2500 0.1247
La: 0.5762 0.7500 0.8753
La: 0.5899 0.7500 0.4154
La: 0.9869 0.5088 0.7464
La: 0.9869 0.9912 0.7464
Ag: 0.2232 0.7500 0.5523
Ag: 0.2424 0.7500 0.0626
Ag: 0.7576 0.2500 0.9374
Ag: 0.7768 0.2500 0.4477
N: 0.2401 0.2500 0.3063
N: 0.7599 0.7500 0.6937

Principal peaks in the range 5 to 70 degrees two-theta, low angle first:
d [Å]  I_rel
3.257  76
3.136  23
3.109  48
3.095  49
2.865  34
2.854  34
2.715  100
2.204  29
2.093  29
1.586  26


Starting from a structure optimized by DFT (GGA-PBE), the powder diffractogram of La6Ag2NO was computed for CuKα.
Neutral-atom scattering factors, no anomalous dispersion.

Atomic structure:
Cell: 7.0087 7.3253 12.3231 Å, 90.00 124.57 90.00°
Sites, in units of the cell vectors:
La: 0.1600 0.0181 0.2468
La: 0.1600 0.4819 0.7468
La: 0.2473 0.7196 0.0403
La: 0.2473 0.7804 0.5403
La: 0.3286 0.2148 0.0409
La: 0.3286 0.2852 0.5409
La: 0.6714 0.7148 0.4591
La: 0.6714 0.7852 0.9591
La: 0.7527 0.2196 0.4597
La: 0.7527 0.2804 0.9597
La: 0.8400 0.5181 0.2532
La: 0.8400 0.9819 0.7532
Ag: 0.2768 0.0466 0.7502
Ag: 0.2768 0.4534 0.2502
Ag: 0.7232 0.5466 0.7498
Ag: 0.7232 0.9534 0.2498
N: 0.0000 0.0000 0.0000
N: 0.0000 0.5000 0.5000
O: 0.5000 0.0000 0.5000
O: 0.5000 0.5000 0.0000

Principal peaks in the range 5 to 70 degrees two-theta, low angle first:
d [Å]  I_rel
3.092  16
3.046  32
3.018  30
2.970  100
2.883  66
2.734  12
2.534  81
2.309  12
1.792  19
1.722  17


Starting from a structure optimized by DFT (GGA-PBE), the powder diffractogram of NaLa2Ag6 was computed for CuKα.
Neutral-atom scattering factors, no anomalous dispersion.

Atomic structure:
Cell: 8.3883 8.3883 3.6188 Å, 90.00 90.00 120.00°
Sites, in units of the cell vectors:
Na: 0.0000 0.0000 0.0000
La: 0.3333 0.6667 0.0000
La: 0.6667 0.3333 0.0000
Ag: 0.0000 0.3314 0.5000
Ag: 0.0000 0.6686 0.5000
Ag: 0.3314 0.0000 0.5000
Ag: 0.3314 0.3314 0.5000
Ag: 0.6686 0.0000 0.5000
Ag: 0.6686 0.6686 0.5000

Principal peaks in the range 5 to 70 degrees two-theta, low angle first:
d [Å]  I_rel
7.265  14
3.622  16
2.740  100
2.422  80
2.013  14
1.814  28
1.809  11
1.452  26
1.449  30
1.398  13


Starting from a structure optimized by DFT (GGA-PBE), the powder diffractogram of NaLa2AgO5 was computed for CuKα.
Neutral-atom scattering factors, no anomalous dispersion.

Atomic structure:
Cell: 6.9244 6.9244 5.9717 Å, 90.00 90.00 90.00°
Sites, in units of the cell vectors:
Na: 0.0000 0.0000 0.0000
Na: 0.5000 0.5000 0.0000
La: 0.1803 0.3197 0.5000
La: 0.3197 0.8197 0.5000
La: 0.6803 0.1803 0.5000
La: 0.8197 0.6803 0.5000
Ag: 0.0000 0.5000 0.0000
Ag: 0.5000 0.0000 0.0000
O: 0.0000 0.0000 0.5000
O: 0.1370 0.6370 0.2496
O: 0.1370 0.6370 0.7504
O: 0.3630 0.1370 0.2496
O: 0.3630 0.1370 0.7504
O: 0.5000 0.5000 0.5000
O: 0.6370 0.8630 0.2496
O: 0.6370 0.8630 0.7504
O: 0.8630 0.3630 0.2496
O: 0.8630 0.3630 0.7504

Principal peaks in the range 5 to 70 degrees two-theta, low angle first:
d [Å]  I_rel
5.972  26
4.896  32
3.097  17
2.993  100
2.749  48
2.448  17
2.149  37
2.056  27
1.893  15
1.617  16


Starting from a structure optimized by DFT (GGA-PBE), the powder diffractogram of NaLa2AgSe4 was computed for CuKα.
Neutral-atom scattering factors, no anomalous dispersion.

Atomic structure:
Cell: 7.1100 4.3830 7.6122 Å, 90.00 111.83 90.00°
Sites, in units of the cell vectors:
Na: 0.0000 0.0000 0.0000
La: 0.5000 0.0000 0.5000
La: 0.5000 0.5000 0.0000
Ag: 0.0000 0.5000 0.5000
Se: 0.2484 0.0000 0.7450
Se: 0.2558 0.5000 0.2489
Se: 0.7442 0.5000 0.7511
Se: 0.7516 0.0000 0.2550

Principal peaks in the range 5 to 70 degrees two-theta, low angle first:
d [Å]  I_rel
6.600  12
3.041  52
3.002  100
2.196  42
2.192  20
2.081  36
2.060  17
1.778  21
1.501  12
1.376  18


Starting from a structure optimized by DFT (GGA-PBE), the powder diffractogram of La2Nd3Ag3 was computed for CuKα.
Neutral-atom scattering factors, no anomalous dispersion.

Atomic structure:
Cell: 11.7215 11.7215 11.7215 Å, 161.34 153.04 32.99°
Sites, in units of the cell vectors:
La: 0.2302 0.2302 0.0000
La: 0.7698 0.7698 0.0000
Nd: 0.0000 0.0000 0.0000
Nd: 0.3814 0.8814 0.5000
Nd: 0.6186 0.1186 0.5000
Ag: 0.1142 0.6142 0.5000
Ag: 0.5000 0.5000 0.0000
Ag: 0.8858 0.3858 0.5000

Principal peaks in the range 5 to 70 degrees two-theta, low angle first:
d [Å]  I_rel
3.472  4
2.810  16
2.729  100
1.959  11
1.901  7
1.606  7
1.576  20
1.560  8
1.428  4
1.364  7


Starting from a structure optimized by DFT (GGA-PBE), the powder diffractogram of La3NdAg3 was computed for CuKα.
Neutral-atom scattering factors, no anomalous dispersion.

Atomic structure:
Cell: 7.6019 7.6019 7.2327 Å, 90.01 90.01 92.36°
Sites, in units of the cell vectors:
La: 0.1826 0.8174 0.0000
La: 0.2811 0.7189 0.5000
La: 0.3619 0.3619 0.0963
La: 0.6381 0.6381 0.9037
La: 0.7189 0.2811 0.5000
La: 0.8174 0.1826 0.0000
Nd: 0.2463 0.2463 0.6279
Nd: 0.7537 0.7537 0.3721
Ag: 0.0112 0.4694 0.2612
Ag: 0.0643 0.0643 0.3155
Ag: 0.4694 0.0112 0.2612
Ag: 0.5306 0.9888 0.7388
Ag: 0.9357 0.9357 0.6845
Ag: 0.9888 0.5306 0.7388

Principal peaks in the range 5 to 70 degrees two-theta, low angle first:
d [Å]  I_rel
3.265  32
3.117  67
3.034  41
2.980  60
2.742  48
2.632  24
2.619  100
2.390  34
2.373  25
1.717  24